# 1
Starting from a crystal structure in Alexandria, relaxed with PBE, the powder diffraction line list of Cs6RbHgF was calculated for Cu Kα (weighted mean of Kα1 and Kα2).
Lines closer than 0.1° are merged.

Cell and atoms:
Unit cell a=9.596 b=9.596 c=8.969 alpha=90.02 beta=90.02 gamma=120.04
Sites, in units of the cell vectors:
Cs (0.110, 0.110, 0.289)
Cs (0.110, 0.432, 0.711)
Cs (0.568, 0.890, 0.289)
Cs (0.569, 0.110, 0.711)
Cs (0.890, 0.431, 0.289)
Cs (0.890, 0.890, 0.711)
Rb (0.523, 0.477, 0.000)
Hg (0.189, 0.811, 0.500)
F (0.856, 0.144, 0.500)

Most intense lines, 2θ = 10–90°, by angle:
14.53 deg, I 53
21.00 deg, I 100
21.39 deg, I 25
27.22 deg, I 74
30.15 deg, I 67
32.32 deg, I 29
35.38 deg, I 26
40.41 deg, I 24



# 2
Starting from a crystal structure in Alexandria, relaxed with PBE, the powder diffraction line list of Pu4Se3Cl2 was calculated for Cu Kα (weighted mean of Kα1 and Kα2).
Lines closer than 0.1° are merged.

Cell and atoms:
Unit cell a=7.107 b=7.107 c=10.203 alpha=119.32 beta=119.32 gamma=33.49
Sites, in units of the cell vectors:
Pu (0.105, 0.105, 0.409)
Pu (0.294, 0.294, 0.198)
Pu (0.706, 0.706, 0.802)
Pu (0.895, 0.895, 0.591)
Se (0.312, 0.312, 0.715)
Se (0.500, 0.500, 0.500)
Se (0.688, 0.688, 0.285)
Cl (0.106, 0.106, 0.893)
Cl (0.894, 0.894, 0.107)

Most intense lines, 2θ = 10–90°, by angle:
10.09 deg, I 34
26.74 deg, I 49
30.65 deg, I 100
31.13 deg, I 45
43.58 deg, I 18
43.91 deg, I 35
44.61 deg, I 34
55.09 deg, I 27



# 3
Starting from a crystal structure in Alexandria, relaxed with PBE, the powder diffraction line list of AcDy4Si4 was calculated for Cu Kα (weighted mean of Kα1 and Kα2).
Lines closer than 0.1° are merged.

Cell and atoms:
Unit cell a=9.414 b=9.414 c=5.683 alpha=90.00 beta=90.00 gamma=90.00
Sites, in units of the cell vectors:
Ac (0.250, 0.250, 0.250)
Ac (0.750, 0.750, 0.750)
Dy (0.111, 0.633, 0.128)
Dy (0.133, 0.889, 0.628)
Dy (0.367, 0.611, 0.628)
Dy (0.389, 0.867, 0.128)
Dy (0.611, 0.133, 0.872)
Dy (0.633, 0.389, 0.372)
Dy (0.867, 0.111, 0.372)
Dy (0.889, 0.367, 0.872)
Si (0.061, 0.578, 0.637)
Si (0.078, 0.939, 0.137)
Si (0.422, 0.561, 0.137)
Si (0.439, 0.922, 0.637)
Si (0.561, 0.078, 0.363)
Si (0.578, 0.439, 0.863)
Si (0.922, 0.061, 0.863)
Si (0.939, 0.422, 0.363)

Most intense lines, 2θ = 10–90°, by angle:
18.23 deg, I 35
26.35 deg, I 100
30.02 deg, I 95
31.14 deg, I 36
32.93 deg, I 49
37.92 deg, I 37
42.95 deg, I 42
58.84 deg, I 25



# 4
Starting from a crystal structure in Alexandria, relaxed with PBE, the powder diffraction line list of DyGa2O4 was calculated for Cu Kα (weighted mean of Kα1 and Kα2).
Lines closer than 0.1° are merged.

Cell and atoms:
Unit cell a=4.527 b=4.527 c=5.327 alpha=90.00 beta=90.00 gamma=90.00
Sites, in units of the cell vectors:
Dy (0.000, 0.000, 0.000)
Ga (0.000, 0.500, 0.500)
Ga (0.500, 0.000, 0.500)
O (0.242, 0.242, 0.293)
O (0.242, 0.758, 0.707)
O (0.758, 0.242, 0.707)
O (0.758, 0.758, 0.293)

Most intense lines, 2θ = 10–90°, by angle:
19.61 deg, I 48
25.83 deg, I 47
32.64 deg, I 100
39.83 deg, I 17
48.08 deg, I 18
53.10 deg, I 32
59.54 deg, I 17
67.78 deg, I 23



# 5
Starting from a crystal structure in Alexandria, relaxed with PBE, the powder diffraction line list of Rb4PrBr6 was calculated for Cu Kα (weighted mean of Kα1 and Kα2).
Lines closer than 0.1° are merged.

Cell and atoms:
Unit cell a=9.595 b=9.595 c=9.836 alpha=90.00 beta=90.00 gamma=90.00
Sites, in units of the cell vectors:
Rb (0.169, 0.331, 0.250)
Rb (0.169, 0.331, 0.750)
Rb (0.331, 0.831, 0.250)
Rb (0.331, 0.831, 0.750)
Rb (0.669, 0.169, 0.250)
Rb (0.669, 0.169, 0.750)
Rb (0.831, 0.669, 0.250)
Rb (0.831, 0.669, 0.750)
Pr (0.000, 0.000, 0.000)
Pr (0.500, 0.500, 0.500)
Br (0.000, 0.000, 0.298)
Br (0.000, 0.000, 0.702)
Br (0.100, 0.695, 0.000)
Br (0.195, 0.600, 0.500)
Br (0.305, 0.100, 0.000)
Br (0.400, 0.195, 0.500)
Br (0.500, 0.500, 0.202)
Br (0.500, 0.500, 0.798)
Br (0.600, 0.805, 0.500)
Br (0.695, 0.900, 0.000)
Br (0.805, 0.400, 0.500)
Br (0.900, 0.305, 0.000)

Most intense lines, 2θ = 10–90°, by angle:
12.89 deg, I 40
27.59 deg, I 100
28.78 deg, I 25
29.43 deg, I 78
36.54 deg, I 21
42.11 deg, I 18
43.81 deg, I 16
47.60 deg, I 25



# 6
Starting from a crystal structure in Alexandria, relaxed with PBE, the powder diffraction line list of Na2CuH4Pd was calculated for Cu Kα (weighted mean of Kα1 and Kα2).
Lines closer than 0.1° are merged.

Cell and atoms:
Unit cell a=4.965 b=4.965 c=4.965 alpha=106.35 beta=106.35 gamma=115.91
Sites, in units of the cell vectors:
Na (0.000, 0.500, 0.500)
Na (0.500, 0.000, 0.500)
Cu (0.000, 0.000, 0.000)
H (0.100, 0.100, 0.719)
H (0.380, 0.380, 0.281)
H (0.620, 0.900, 0.000)
H (0.900, 0.620, 0.000)
Pd (0.500, 0.500, 0.000)

Most intense lines, 2θ = 10–90°, by angle:
21.11 deg, I 82
30.03 deg, I 100
34.03 deg, I 34
40.39 deg, I 28
42.98 deg, I 37
46.01 deg, I 61
55.93 deg, I 33
80.93 deg, I 20



# 7
Starting from a crystal structure in Alexandria, relaxed with PBE, the powder diffraction line list of Ac2SeClO6 was calculated for Cu Kα (weighted mean of Kα1 and Kα2).
Lines closer than 0.1° are merged.

Cell and atoms:
Unit cell a=6.176 b=6.176 c=6.176 alpha=65.34 beta=65.34 gamma=65.34
Sites, in units of the cell vectors:
Ac (0.000, 0.000, 0.000)
Ac (0.453, 0.453, 0.453)
Se (0.223, 0.223, 0.223)
Cl (0.670, 0.670, 0.670)
O (0.173, 0.173, 0.548)
O (0.173, 0.548, 0.173)
O (0.272, 0.272, 0.898)
O (0.272, 0.898, 0.272)
O (0.548, 0.173, 0.173)
O (0.898, 0.272, 0.272)

Most intense lines, 2θ = 10–90°, by angle:
16.53 deg, I 28
19.66 deg, I 60
26.74 deg, I 100
29.10 deg, I 56
34.64 deg, I 20
43.30 deg, I 26
47.23 deg, I 19
48.71 deg, I 34



# 8
Starting from a crystal structure in Alexandria, relaxed with PBE, the powder diffraction line list of Mg3Ti2Al18 was calculated for Cu Kα (weighted mean of Kα1 and Kα2).
Lines closer than 0.1° are merged.

Cell and atoms:
Unit cell a=10.435 b=10.435 c=10.435 alpha=60.00 beta=60.00 gamma=60.00
Sites, in units of the cell vectors:
Mg (0.000, 0.000, 0.000)
Mg (0.000, 0.000, 0.500)
Mg (0.000, 0.500, 0.000)
Mg (0.125, 0.125, 0.125)
Mg (0.500, 0.000, 0.000)
Mg (0.875, 0.875, 0.875)
Ti (0.000, 0.500, 0.500)
Ti (0.500, 0.000, 0.500)
Ti (0.500, 0.500, 0.000)
Ti (0.500, 0.500, 0.500)
Al (0.057, 0.325, 0.325)
Al (0.057, 0.325, 0.793)
Al (0.057, 0.793, 0.325)
Al (0.207, 0.675, 0.675)
Al (0.207, 0.675, 0.943)
Al (0.207, 0.943, 0.675)
Al (0.236, 0.236, 0.514)
Al (0.236, 0.514, 0.236)
Al (0.236, 0.514, 0.514)
Al (0.325, 0.057, 0.325)
Al (0.325, 0.057, 0.793)
Al (0.325, 0.325, 0.057)
Al (0.325, 0.325, 0.793)
Al (0.325, 0.793, 0.057)
Al (0.325, 0.793, 0.325)
Al (0.486, 0.486, 0.764)
Al (0.486, 0.764, 0.486)
Al (0.486, 0.764, 0.764)
Al (0.514, 0.236, 0.236)
Al (0.514, 0.236, 0.514)
Al (0.514, 0.514, 0.236)
Al (0.675, 0.207, 0.675)
Al (0.675, 0.207, 0.943)
Al (0.675, 0.675, 0.207)
Al (0.675, 0.675, 0.943)
Al (0.675, 0.943, 0.207)
Al (0.675, 0.943, 0.675)
Al (0.764, 0.486, 0.486)
Al (0.764, 0.486, 0.764)
Al (0.764, 0.764, 0.486)
Al (0.793, 0.057, 0.325)
Al (0.793, 0.325, 0.057)
Al (0.793, 0.325, 0.325)
Al (0.943, 0.207, 0.675)
Al (0.943, 0.675, 0.207)
Al (0.943, 0.675, 0.675)

Most intense lines, 2θ = 10–90°, by angle:
10.38 deg, I 46
36.00 deg, I 50
38.58 deg, I 30
40.07 deg, I 75
40.55 deg, I 100
42.44 deg, I 32
43.81 deg, I 48
72.46 deg, I 44